No. 1
This entry pairs a crystal structure of YEr3Bi3 with its computed powder XRD pattern. Radiation: CuKα. Structure: a DFT-relaxed cell (PBE, Alexandria).
Lines closer than 0.1° are merged.

Main lines, sorted by position (10 to 90 degrees two-theta):
d 3.815, 23.32 deg, I 13
d 2.955, 30.25 deg, I 100
d 2.497, 35.96 deg, I 68
d 2.089, 43.30 deg, I 20
d 1.992, 45.53 deg, I 14
d 1.907, 47.68 deg, I 13
d 1.833, 49.75 deg, I 19
d 1.516, 61.14 deg, I 31
d 1.442, 64.64 deg, I 15
d 1.272, 74.64 deg, I 19

```
YEr3Bi3
1.0
9.344 0.000 0.000
0.000 9.344 0.000
0.000 0.000 9.344
Y Er Bi
4 12 12
direct
0.073 0.427 0.573
0.427 0.573 0.073
0.573 0.073 0.427
0.927 0.927 0.927
0.075 0.575 0.925
0.176 0.824 0.324
0.177 0.177 0.177
0.323 0.823 0.677
0.324 0.176 0.824
0.425 0.425 0.425
0.575 0.925 0.075
0.676 0.676 0.676
0.677 0.323 0.823
0.823 0.677 0.323
0.824 0.324 0.176
0.925 0.075 0.575
0.001 0.252 0.876
0.124 0.501 0.248
0.248 0.124 0.501
0.252 0.876 0.001
0.376 0.499 0.748
0.499 0.748 0.376
0.501 0.248 0.124
0.624 0.999 0.752
0.748 0.376 0.499
0.752 0.624 0.999
0.876 0.001 0.252
0.999 0.752 0.624
```

No. 2
This entry pairs a crystal structure of YEr3Bi2 with its computed powder XRD pattern. Radiation: CuKα. Structure: a DFT-relaxed cell (PBE, Alexandria).
Lines closer than 0.1° are merged.

Main lines, sorted by position (10 to 90 degrees two-theta):
d 3.214, 27.75 deg, I 37
d 3.008, 29.70 deg, I 76
d 2.843, 31.47 deg, I 41
d 2.567, 34.96 deg, I 100
d 2.410, 37.31 deg, I 22
d 2.273, 39.65 deg, I 62
d 1.775, 51.47 deg, I 45
d 1.607, 57.33 deg, I 21
d 1.399, 66.87 deg, I 19
d 1.362, 68.93 deg, I 28

```
YEr3Bi2
1.0
4.546 0.000 0.000
0.000 4.546 0.000
0.000 0.000 8.529
Y Er Bi
1 3 2
direct
0.000 0.000 0.000
0.000 0.500 0.343
0.500 0.000 0.657
0.500 0.500 0.000
0.000 0.500 0.714
0.500 0.000 0.286
```

No. 3
This entry pairs a crystal structure of Y2Er2Bi3 with its computed powder XRD pattern. Radiation: CuKα. Structure: a DFT-relaxed cell (PBE, Alexandria).
Lines closer than 0.1° are merged.

Main lines, sorted by position (10 to 90 degrees two-theta):
d 5.522, 16.05 deg, I 10
d 4.234, 20.98 deg, I 10
d 3.070, 29.09 deg, I 100
d 2.221, 40.62 deg, I 14
d 2.172, 41.58 deg, I 27
d 2.168, 41.66 deg, I 25
d 2.127, 42.51 deg, I 11
d 1.799, 50.76 deg, I 15
d 1.372, 68.35 deg, I 11
d 1.272, 74.59 deg, I 9

```
Y2Er2Bi3
1.0
14.169 0.000 0.000
0.000 4.442 0.000
-1.168 0.000 7.362
Y Er Bi
4 4 6
direct
0.123 0.000 0.355
0.377 0.500 0.645
0.623 0.500 0.355
0.877 0.000 0.645
0.116 0.500 0.890
0.384 0.000 0.110
0.616 0.000 0.890
0.884 0.500 0.110
0.000 0.500 0.500
0.239 0.000 0.752
0.261 0.500 0.248
0.500 0.000 0.500
0.739 0.500 0.752
0.761 0.000 0.248
```

No. 4
This entry pairs a crystal structure of YEr2Bi with its computed powder XRD pattern. Radiation: CuKα. Structure: a DFT-relaxed cell (PBE, Alexandria).
Lines closer than 0.1° are merged.

Main lines, sorted by position (10 to 90 degrees two-theta):
d 6.188, 14.31 deg, I 40
d 3.039, 29.39 deg, I 87
d 2.923, 30.58 deg, I 39
d 2.840, 31.50 deg, I 38
d 2.796, 32.01 deg, I 100
d 2.600, 34.50 deg, I 86
d 2.480, 36.22 deg, I 83
d 2.072, 43.68 deg, I 51
d 1.620, 56.83 deg, I 42
d 1.604, 57.46 deg, I 46

```
YEr2Bi
1.0
4.143 0.000 0.000
0.000 12.377 0.000
0.000 0.000 9.592
Y Er Bi
4 8 4
direct
0.000 0.055 0.250
0.000 0.945 0.750
0.500 0.445 0.750
0.500 0.555 0.250
0.000 0.367 0.046
0.000 0.367 0.454
0.000 0.633 0.546
0.000 0.633 0.954
0.500 0.133 0.546
0.500 0.133 0.954
0.500 0.867 0.046
0.500 0.867 0.454
0.000 0.242 0.750
0.000 0.758 0.250
0.500 0.258 0.250
0.500 0.742 0.750
```

No. 5
This entry pairs a crystal structure of EuBi6 with its computed powder XRD pattern. Radiation: CuKα. Structure: a DFT-relaxed cell (PBE, Alexandria).
Lines closer than 0.1° are merged.

Main lines, sorted by position (10 to 90 degrees two-theta):
d 6.232, 14.21 deg, I 37
d 4.407, 20.15 deg, I 41
d 3.598, 24.74 deg, I 100
d 2.544, 35.28 deg, I 50
d 2.355, 38.21 deg, I 66
d 2.203, 40.96 deg, I 41
d 1.609, 57.25 deg, I 21
d 1.558, 59.31 deg, I 29
d 1.430, 65.26 deg, I 21
d 1.329, 70.93 deg, I 21

```
EuBi6
1.0
8.813 0.000 0.000
0.000 8.813 0.000
0.000 0.000 8.813
Eu Bi
2 12
direct
0.000 0.000 0.000
0.500 0.500 0.500
0.000 0.250 0.500
0.000 0.500 0.250
0.000 0.500 0.750
0.000 0.750 0.500
0.250 0.000 0.500
0.250 0.500 0.000
0.500 0.000 0.250
0.500 0.000 0.750
0.500 0.250 0.000
0.500 0.750 0.000
0.750 0.000 0.500
0.750 0.500 0.000
```

No. 6
This entry pairs a crystal structure of EuHgBi with its computed powder XRD pattern. Radiation: CuKα. Structure: a DFT-relaxed cell (PBE, Alexandria).
Lines closer than 0.1° are merged.

Main lines, sorted by position (10 to 90 degrees two-theta):
d 3.087, 28.92 deg, I 100
d 2.481, 36.21 deg, I 59
d 1.972, 46.03 deg, I 29
d 1.934, 46.99 deg, I 27
d 1.544, 59.92 deg, I 13
d 1.525, 60.72 deg, I 25
d 1.432, 65.13 deg, I 11
d 1.311, 72.06 deg, I 16
d 1.271, 74.69 deg, I 8
d 1.151, 84.10 deg, I 11

```
EuHgBi
1.0
4.961 0.000 0.000
-2.481 4.297 0.000
0.000 0.000 4.439
Eu Hg Bi
1 1 1
direct
0.000 0.000 0.000
0.333 0.667 0.676
0.667 0.333 0.422
```

No. 7
This entry pairs a crystal structure of EuBi2IO4 with its computed powder XRD pattern. Radiation: CuKα. Structure: a DFT-relaxed cell (PBE, Alexandria).
Lines closer than 0.1° are merged.

Main lines, sorted by position (10 to 90 degrees two-theta):
d 3.095, 28.84 deg, I 100
d 2.818, 31.76 deg, I 32
d 2.457, 36.57 deg, I 11
d 1.992, 45.53 deg, I 17
d 1.852, 49.20 deg, I 26
d 1.675, 54.80 deg, I 34
d 1.548, 59.75 deg, I 11
d 1.515, 61.17 deg, I 12
d 1.206, 79.46 deg, I 11
d 1.121, 86.87 deg, I 11

```
EuBi2IO4
1.0
3.985 0.000 0.000
0.000 3.985 0.000
0.000 0.000 9.830
Eu Bi I O
1 2 1 4
direct
0.000 0.000 0.000
0.500 0.500 0.258
0.500 0.500 0.742
0.000 0.000 0.500
0.000 0.500 0.148
0.000 0.500 0.852
0.500 0.000 0.148
0.500 0.000 0.852
```

No. 8
This entry pairs a crystal structure of LiLaEuBi with its computed powder XRD pattern. Radiation: CuKα. Structure: a DFT-relaxed cell (PBE, Alexandria).
Lines closer than 0.1° are merged.

Main lines, sorted by position (10 to 90 degrees two-theta):
d 4.561, 19.46 deg, I 36
d 2.793, 32.04 deg, I 100
d 2.382, 37.76 deg, I 21
d 1.975, 45.95 deg, I 19
d 1.813, 50.34 deg, I 9
d 1.613, 57.11 deg, I 39
d 1.520, 60.93 deg, I 7
d 1.397, 67.01 deg, I 12
d 1.335, 70.52 deg, I 7
d 1.249, 76.21 deg, I 17

```
LiLaEuBi
1.0
7.901 0.000 0.000
0.000 7.901 0.000
0.000 0.000 7.901
Li La Eu Bi
4 4 4 4
direct
0.000 0.000 0.000
0.000 0.500 0.500
0.500 0.000 0.500
0.500 0.500 0.000
0.250 0.250 0.250
0.250 0.750 0.750
0.750 0.250 0.750
0.750 0.750 0.250
0.250 0.250 0.750
0.250 0.750 0.250
0.750 0.250 0.250
0.750 0.750 0.750
0.000 0.000 0.500
0.000 0.500 0.000
0.500 0.000 0.000
0.500 0.500 0.500
```

No. 9
This entry pairs a crystal structure of SmEuMgBi with its computed powder XRD pattern. Radiation: CuKα. Structure: a DFT-relaxed cell (PBE, Alexandria).
Lines closer than 0.1° are merged.

Main lines, sorted by position (10 to 90 degrees two-theta):
d 4.548, 19.52 deg, I 25
d 2.785, 32.14 deg, I 100
d 2.375, 37.88 deg, I 15
d 1.969, 46.09 deg, I 19
d 1.807, 50.50 deg, I 7
d 1.608, 57.30 deg, I 39
d 1.516, 61.13 deg, I 5
d 1.393, 67.23 deg, I 12
d 1.332, 70.76 deg, I 5
d 1.246, 76.48 deg, I 17

```
SmEuMgBi
1.0
7.877 0.000 0.000
0.000 7.877 0.000
0.000 0.000 7.877
Sm Eu Mg Bi
4 4 4 4
direct
0.000 0.000 0.000
0.000 0.500 0.500
0.500 0.000 0.500
0.500 0.500 0.000
0.000 0.000 0.500
0.000 0.500 0.000
0.500 0.000 0.000
0.500 0.500 0.500
0.250 0.250 0.750
0.250 0.750 0.250
0.750 0.250 0.250
0.750 0.750 0.750
0.250 0.250 0.250
0.250 0.750 0.750
0.750 0.250 0.750
0.750 0.750 0.250
```

No. 10
This entry pairs a crystal structure of Eu4Bi2N with its computed powder XRD pattern. Radiation: CuKα. Structure: a DFT-relaxed cell (PBE, Alexandria).
Lines closer than 0.1° are merged.

Main lines, sorted by position (10 to 90 degrees two-theta):
d 3.520, 25.30 deg, I 24
d 3.253, 27.42 deg, I 54
d 2.839, 31.52 deg, I 27
d 2.713, 33.02 deg, I 100
d 2.489, 36.09 deg, I 56
d 1.871, 48.66 deg, I 32
d 1.760, 51.96 deg, I 20
d 1.533, 60.38 deg, I 19
d 1.477, 62.94 deg, I 36
d 1.156, 83.66 deg, I 15

```
Eu4Bi2N
1.0
4.978 0.000 0.000
0.000 4.978 0.000
0.000 0.000 17.032
Eu Bi N
8 4 2
direct
0.000 0.000 0.160
0.000 0.000 0.840
0.000 0.500 0.000
0.000 0.500 0.500
0.500 0.000 0.000
0.500 0.000 0.500
0.500 0.500 0.340
0.500 0.500 0.660
0.000 0.000 0.359
0.000 0.000 0.641
0.500 0.500 0.141
0.500 0.500 0.859
0.000 0.000 0.000
0.500 0.500 0.500
```

No. 11
This entry pairs a crystal structure of NaEuBiPd with its computed powder XRD pattern. Radiation: CuKα. Structure: a DFT-relaxed cell (PBE, Alexandria).
Lines closer than 0.1° are merged.

Main lines, sorted by position (10 to 90 degrees two-theta):
d 4.192, 21.19 deg, I 10
d 3.630, 24.52 deg, I 25
d 2.567, 34.95 deg, I 100
d 2.096, 43.16 deg, I 8
d 1.815, 50.26 deg, I 18
d 1.624, 56.70 deg, I 11
d 1.482, 62.68 deg, I 37
d 1.284, 73.83 deg, I 11
d 1.210, 79.14 deg, I 6
d 1.148, 84.37 deg, I 16

```
NaEuBiPd
1.0
7.261 0.000 0.000
0.000 7.261 0.000
0.000 0.000 7.261
Na Eu Bi Pd
4 4 4 4
direct
0.000 0.000 0.000
0.000 0.500 0.500
0.500 0.000 0.500
0.500 0.500 0.000
0.250 0.250 0.750
0.250 0.750 0.250
0.750 0.250 0.250
0.750 0.750 0.750
0.250 0.250 0.250
0.250 0.750 0.750
0.750 0.250 0.750
0.750 0.750 0.250
0.000 0.000 0.500
0.000 0.500 0.000
0.500 0.000 0.000
0.500 0.500 0.500
```

No. 12
This entry pairs a crystal structure of EuBiO2 with its computed powder XRD pattern. Radiation: CuKα. Structure: a DFT-relaxed cell (PBE, Alexandria).
Lines closer than 0.1° are merged.

Main lines, sorted by position (10 to 90 degrees two-theta):
d 3.471, 25.66 deg, I 42
d 3.003, 29.75 deg, I 100
d 2.687, 33.35 deg, I 60
d 2.003, 45.26 deg, I 35
d 1.811, 50.39 deg, I 27
d 1.735, 52.75 deg, I 29
d 1.606, 57.39 deg, I 29
d 1.551, 59.61 deg, I 14
d 1.344, 70.02 deg, I 17
d 1.253, 75.94 deg, I 21

```
EuBiO2
1.0
3.622 0.000 0.000
-1.811 3.137 0.000
0.000 0.000 20.829
Eu Bi O
3 3 6
direct
0.000 0.000 0.000
0.333 0.667 0.667
0.667 0.333 0.333
0.000 0.000 0.500
0.333 0.667 0.167
0.667 0.333 0.833
0.000 0.000 0.389
0.000 0.000 0.611
0.333 0.667 0.056
0.333 0.667 0.278
0.667 0.333 0.722
0.667 0.333 0.944
```

Repeat the fifth record exactly.
This entry pairs a crystal structure of EuBi6 with its computed powder XRD pattern. Radiation: CuKα. Structure: a DFT-relaxed cell (PBE, Alexandria).
Lines closer than 0.1° are merged.

Main lines, sorted by position (10 to 90 degrees two-theta):
d 6.232, 14.21 deg, I 37
d 4.407, 20.15 deg, I 41
d 3.598, 24.74 deg, I 100
d 2.544, 35.28 deg, I 50
d 2.355, 38.21 deg, I 66
d 2.203, 40.96 deg, I 41
d 1.609, 57.25 deg, I 21
d 1.558, 59.31 deg, I 29
d 1.430, 65.26 deg, I 21
d 1.329, 70.93 deg, I 21

```
EuBi6
1.0
8.813 0.000 0.000
0.000 8.813 0.000
0.000 0.000 8.813
Eu Bi
2 12
direct
0.000 0.000 0.000
0.500 0.500 0.500
0.000 0.250 0.500
0.000 0.500 0.250
0.000 0.500 0.750
0.000 0.750 0.500
0.250 0.000 0.500
0.250 0.500 0.000
0.500 0.000 0.250
0.500 0.000 0.750
0.500 0.250 0.000
0.500 0.750 0.000
0.750 0.000 0.500
0.750 0.500 0.000
```

Repeat the fifth record exactly.
This entry pairs a crystal structure of EuBi6 with its computed powder XRD pattern. Radiation: CuKα. Structure: a DFT-relaxed cell (PBE, Alexandria).
Lines closer than 0.1° are merged.

Main lines, sorted by position (10 to 90 degrees two-theta):
d 6.232, 14.21 deg, I 37
d 4.407, 20.15 deg, I 41
d 3.598, 24.74 deg, I 100
d 2.544, 35.28 deg, I 50
d 2.355, 38.21 deg, I 66
d 2.203, 40.96 deg, I 41
d 1.609, 57.25 deg, I 21
d 1.558, 59.31 deg, I 29
d 1.430, 65.26 deg, I 21
d 1.329, 70.93 deg, I 21

```
EuBi6
1.0
8.813 0.000 0.000
0.000 8.813 0.000
0.000 0.000 8.813
Eu Bi
2 12
direct
0.000 0.000 0.000
0.500 0.500 0.500
0.000 0.250 0.500
0.000 0.500 0.250
0.000 0.500 0.750
0.000 0.750 0.500
0.250 0.000 0.500
0.250 0.500 0.000
0.500 0.000 0.250
0.500 0.000 0.750
0.500 0.250 0.000
0.500 0.750 0.000
0.750 0.000 0.500
0.750 0.500 0.000
```